For V3SbP6O24, DFT lattice parameters and positions (PBE+U) gives the simulated powder diffractogram in this record (Cu Kα).
Intensities are scaled so that the largest is 100.

Atomic structure:
```
data_V3SbP6O24
_cell_length_a 8.4768
_cell_length_b 8.4768
_cell_length_c 22.0099
_cell_angle_alpha 90.00
_cell_angle_beta 90.00
_cell_angle_gamma 120.00
_symmetry_space_group_name_H-M 'R 3'
_symmetry_Int_Tables_number 146
_symmetry_space_group_name_Hall 'R 3'
loop_
_atom_site_label
_atom_site_fract_x
_atom_site_fract_y
_atom_site_fract_z
V1 0.0000 0.0000 0.0000
V2 0.0000 0.0000 0.2129
V3 0.0000 0.0000 0.4957
Sb1 0.0000 0.0000 0.7105
P1 0.0020 0.7176 0.1046
P2 0.0508 0.3801 0.2712
O1 0.0010 0.1791 0.2625
O2 0.0080 0.8189 0.4454
O3 0.0113 0.1901 0.5474
O4 0.0525 0.8425 0.0491
O5 0.0734 0.8598 0.7644
O6 0.1555 0.6762 0.8296
O7 0.1769 0.4552 0.6170
O8 0.1862 0.4448 0.3265
```

Peak list (6 most intense, 15 to 90 degrees two-theta, low angle first)
two_theta, I_rel, hkl
20.2, 81, 1 0 4
21.0, 42, 1 1 0
24.3, 100, 1 1 3
29.2, 60, 0 2 4
32.3, 46, 2 -1 6
53.1, 18, 3 -1 10